Theoretical powder X-ray diffraction pattern of Na3ScB2O6 for λ = 1.5418 Å (Cu Kα), from a cell relaxed with PBE.
Lines closer than 0.1° are merged.

Cell and atoms:
Cell lengths 5.124, 9.084, 7.083 Å; angles 90.00, 123.59, 90.00 degrees
Element x y z (fractional)
Na: 0.000 0.000 0.000
Na: 0.000 0.500 0.500
Na: 0.263 0.168 0.764
Na: 0.263 0.332 0.264
Na: 0.737 0.668 0.736
Na: 0.737 0.832 0.236
Sc: 0.500 0.000 0.500
Sc: 0.500 0.500 0.000
B: 0.227 0.668 0.239
B: 0.227 0.832 0.739
B: 0.773 0.168 0.261
B: 0.773 0.332 0.761
O: 0.064 0.106 0.345
O: 0.064 0.394 0.845
O: 0.267 0.682 0.791
O: 0.267 0.818 0.291
O: 0.476 0.584 0.274
O: 0.476 0.916 0.774
O: 0.524 0.084 0.226
O: 0.524 0.416 0.726
O: 0.733 0.182 0.709
O: 0.733 0.318 0.209
O: 0.936 0.606 0.155
O: 0.936 0.894 0.655

Main lines, by intensity (10° ≤ 2θ ≤ 90°):
2.272 Å, 2θ 39.7, intensity 100, hkl 1 1 -3
2.593 Å, 2θ 34.6, intensity 97, hkl 1 3 -1
2.474 Å, 2θ 36.3, intensity 82, hkl 0 2 2
1.931 Å, 2θ 47.0, intensity 68, hkl 2 2 0
2.188 Å, 2θ 41.3, intensity 61, hkl 2 2 -1
4.948 Å, 2θ 17.9, intensity 58, hkl 0 1 1
4.394 Å, 2θ 20.2, intensity 47, hkl 1 1 -1
2.510 Å, 2θ 35.8, intensity 46, hkl 2 0 -2
2.119 Å, 2θ 42.7, intensity 46, hkl 0 4 1
1.800 Å, 2θ 50.7, intensity 43, hkl 0 4 2